Diffraction record for Tc2Sb2Pt. The X-ray diffraction stick pattern is theoretical, not measured: it uses DFT lattice parameters and positions (PBE) and Cu Kα.
Neutral-atom scattering factors, no anomalous dispersion.

Cell and atoms:
a = 7.5817 Å, b = 7.5817 Å, c = 3.1199 Å
α = 90.00°, β = 90.00°, γ = 90.00°
Fractional coordinates of all 10 atoms:
Tc (0.1450, 0.3550, 0.0000)
Tc (0.3550, 0.8550, 0.0000)
Tc (0.6450, 0.1450, 0.0000)
Tc (0.8550, 0.6450, 0.0000)
Sb (0.1535, 0.6535, 0.5000)
Sb (0.3465, 0.1535, 0.5000)
Sb (0.6535, 0.8465, 0.5000)
Sb (0.8465, 0.3465, 0.5000)
Pt (0.0000, 0.0000, 0.5000)
Pt (0.5000, 0.5000, 0.5000)

Main lines, low angle first (2θ from 15° to 90°):
2theta, Rel. int., hkl
28.6, 13, 0 0 1
33.2, 24, 1 1 1
33.4, 18, 2 2 0
37.5, 94, 3 1 0
39.2, 100, 2 1 1
44.6, 13, 2 2 1
47.8, 22, 3 1 1
54.1, 15, 4 2 0
72.3, 27, 3 1 2
73.8, 23, 5 2 1